Li2Sm2Al5Cu: computed powder diffraction line list (Cu Kα (λ = 1.5418 Å)), based on a crystal structure in Alexandria, relaxed with GGA-PBE.

Structural model:
abc: 9.404 9.404 4.168
angles: 90.00 90.00 90.00
Space group P4/mbm (No. 127)
Asymmetric unit:
Li (0.111, 0.389, 0.000)
Sm (0.185, 0.685, 0.000)
Al (0.000, 0.500, 0.500)
Al (0.051, 0.198, 0.500)
Cu (0.000, 0.000, 0.000)

Principal peaks in the range 2θ = 15–90°, sorted by position:
2theta  I (rel.)
21.13  78
21.32  37
28.62  33
30.19  100
34.51  49
37.14  75
39.51  62
45.33  32
60.14  36
61.67  27

***

MgAlCu5: computed powder diffraction line list (Cu Kα (λ = 1.5418 Å)), based on a crystal structure in Alexandria, relaxed with GGA-PBE.

Structural model:
abc: 4.980 7.809 5.159
angles: 90.00 90.00 90.00
Space group Cmmm (No. 65)
Asymmetric unit:
Mg (0.000, 0.000, 0.000)
Al (0.000, 0.500, 0.500)
Cu (0.000, 0.000, 0.500)
Cu (0.250, 0.250, 0.255)

Principal peaks in the range 2θ = 15–90°, sorted by position:
2theta  I (rel.)
17.19  20
21.16  18
22.77  38
34.78  13
41.98  100
43.09  93
46.52  37
50.97  55
71.47  37
89.09  20